Record 1
Starting from a crystal structure in Alexandria, relaxed with GGA-PBE, the powder diffractogram of AcTmRhO6 was calculated for λ = 1.5418 Å (Cu Kα).
No peak broadening, texture or thermal motion is included.

Crystal structure
```
data_AcTmRhO6
_cell_length_a 5.4968
_cell_length_b 5.4968
_cell_length_c 5.3254
_cell_angle_alpha 90.00
_cell_angle_beta 90.00
_cell_angle_gamma 120.00
_symmetry_space_group_name_H-M 'P 3 1 2'
_symmetry_Int_Tables_number 149
_symmetry_space_group_name_Hall 'P 3 2'
loop_
_atom_site_label
_atom_site_type_symbol
_atom_site_fract_x
_atom_site_fract_y
_atom_site_fract_z
_atom_site_occupancy
Ac1 Ac 0.0000 0.0000 0.0000 1
Tm1 Tm 0.3333 0.6667 0.5000 1
Rh1 Rh 0.6667 0.3333 0.5000 1
O1 O 0.3797 0.0333 0.7117 1
```

Principal peaks in the range 10° ≤ 2θ ≤ 80°, by angle:
25.1 deg, rel. 100
32.6 deg, rel. 39
33.7 deg, rel. 10
41.6 deg, rel. 26
47.5 deg, rel. 39
53.8 deg, rel. 25
55.2 deg, rel. 11
58.1 deg, rel. 12
68.9 deg, rel. 9
74.0 deg, rel. 10
75.2 deg, rel. 10
78.3 deg, rel. 9

=====

Record 2
Starting from a crystal structure in Alexandria, relaxed with GGA-PBE, the powder diffractogram of AcZnRhO4 was calculated for λ = 1.5418 Å (Cu Kα).
No peak broadening, texture or thermal motion is included.

Crystal structure
```
data_AcZnRhO4
_cell_length_a 5.916
_cell_length_b 5.916
_cell_length_c 6.600
_cell_angle_alpha 90.00
_cell_angle_beta 90.00
_cell_angle_gamma 90.00
_symmetry_space_group_name_H-M 'I -4'
_symmetry_Int_Tables_number 82
_symmetry_space_group_name_Hall 'I -4'
loop_
_atom_site_label
_atom_site_type_symbol
_atom_site_fract_x
_atom_site_fract_y
_atom_site_fract_z
_atom_site_occupancy
Ac1 Ac 0.000 0.000 0.000 1
Zn1 Zn 0.000 0.500 0.250 1
Rh1 Rh 0.000 0.000 0.500 1
O1 O 0.169 0.727 0.411 1
```

Principal peaks in the range 10° ≤ 2θ ≤ 80°, by angle:
20.2 deg, rel. 41
21.2 deg, rel. 66
27.0 deg, rel. 24
30.2 deg, rel. 54
34.6 deg, rel. 100
36.6 deg, rel. 22
41.0 deg, rel. 22
43.3 deg, rel. 31
48.7 deg, rel. 17
51.7 deg, rel. 15
56.5 deg, rel. 50
64.7 deg, rel. 18

=====

Record 3
Starting from a crystal structure in Alexandria, relaxed with GGA-PBE, the powder diffractogram of Ac2ZnRhO5 was calculated for λ = 1.5418 Å (Cu Kα).
No peak broadening, texture or thermal motion is included.

Crystal structure
```
data_Ac2ZnRhO5
_cell_length_a 7.378
_cell_length_b 7.378
_cell_length_c 5.698
_cell_angle_alpha 90.00
_cell_angle_beta 90.00
_cell_angle_gamma 90.00
_symmetry_space_group_name_H-M 'P 4/m b m'
_symmetry_Int_Tables_number 127
_symmetry_space_group_name_Hall '-P 4 2ab'
loop_
_atom_site_label
_atom_site_type_symbol
_atom_site_fract_x
_atom_site_fract_y
_atom_site_fract_z
_atom_site_occupancy
Ac1 Ac 0.180 0.320 0.000 1
Zn1 Zn 0.000 0.000 0.500 1
Rh1 Rh 0.000 0.500 0.500 1
O1 O 0.000 0.000 0.000 1
O2 O 0.128 0.628 0.251 1
```

Principal peaks in the range 10° ≤ 2θ ≤ 80°, by angle:
15.6 deg, rel. 37
17.0 deg, rel. 14
27.0 deg, rel. 35
28.8 deg, rel. 91
31.3 deg, rel. 100
34.4 deg, rel. 21
41.9 deg, rel. 61
47.2 deg, rel. 19
51.0 deg, rel. 15
53.7 deg, rel. 26
54.3 deg, rel. 16
61.2 deg, rel. 18